This entry pairs a crystal structure of Tm2Ni2C3N with its computed X-ray diffraction stick pattern. Radiation: copper Kα. Structure: a PBE-relaxed structure.
Intensities are scaled so that the largest is 100.

Cell and atoms:
Cell: 3.450 3.450 7.330 Å, 90.00 90.00 90.00°
Space group P4mm (No. 99)
One atom of each set of equivalent atoms:
Tm (0.000, 0.000, 0.000) [1 per cell]
Tm (0.500, 0.500, 0.334) [1 per cell]
Ni (0.000, 0.500, 0.660) [2 per cell]
C (0.000, 0.000, 0.504) [1 per cell]
C (0.500, 0.500, 0.017) [1 per cell]
C (0.500, 0.500, 0.827) [1 per cell]
N (0.000, 0.000, 0.314) [1 per cell]

Peak list (10 most intense, 10 to 80 degrees two-theta, by angle)
(1 0 1), 28.59 deg, rel. 100; (1 0 2), 35.74 deg, rel. 72; (0 0 3), 36.80 deg, rel. 70; (1 1 1), 38.91 deg, rel. 63; (1 1 2), 44.62 deg, rel. 47; (2 0 0), 53.08 deg, rel. 49; (1 0 4), 56.89 deg, rel. 21; (2 1 1), 61.40 deg, rel. 26; (2 1 2), 65.65 deg, rel. 25; (2 0 3), 66.33 deg, rel. 31

This entry pairs a crystal structure of Ta2Tl4Se11 with its computed X-ray diffraction stick pattern. Radiation: copper Kα. Structure: a PBE-relaxed structure.
Intensities are scaled so that the largest is 100.

Cell and atoms:
Cell: 8.088 9.254 13.877 Å, 72.95 89.34 86.00°
Space group P-1 (No. 2)
One atom of each set of equivalent atoms:
Ta (0.124, 0.366, 0.303) [2 per cell]
Ta (0.337, 0.110, 0.189) [2 per cell]
Tl (0.052, 0.763, 0.984) [2 per cell]
Tl (0.213, 0.978, 0.572) [2 per cell]
Tl (0.239, 0.416, 0.582) [2 per cell]
Tl (0.493, 0.724, 0.112) [2 per cell]
Se (0.019, 0.712, 0.533) [2 per cell]
Se (0.028, 0.130, 0.249) [2 per cell]
Se (0.054, 0.658, 0.249) [2 per cell]
Se (0.118, 0.495, 0.817) [2 per cell]
Se (0.260, 0.404, 0.110) [2 per cell]
Se (0.272, 0.037, 0.039) [2 per cell]
Se (0.346, 0.858, 0.334) [2 per cell]
Se (0.392, 0.179, 0.372) [2 per cell]
Se (0.399, 0.075, 0.752) [2 per cell]
Se (0.401, 0.446, 0.352) [2 per cell]
Se (0.454, 0.688, 0.882) [2 per cell]

Peak list (10 most intense, 10 to 80 degrees two-theta, by angle)
(1 0 1), 12.90 deg, rel. 35; (1 1 0), 14.35 deg, rel. 47; (0 2 1), 19.25 deg, rel. 36; (1 1 -2), 21.52 deg, rel. 37; (1 0 3), 23.02 deg, rel. 48; (2 0 1), 23.11 deg, rel. 30; (1 0 -4), 29.00 deg, rel. 100; (2 2 2), 29.41 deg, rel. 33; (1 2 4), 30.23 deg, rel. 63; (2 -2 0), 31.06 deg, rel. 64

This entry pairs a crystal structure of Sm2Dy2CBr3Cl2 with its computed X-ray diffraction stick pattern. Radiation: copper Kα. Structure: a PBE-relaxed structure.
Intensities are scaled so that the largest is 100.

Cell and atoms:
Cell: 17.401 3.807 8.128 Å, 90.00 103.83 90.00°
Space group C2/m (No. 12)
One atom of each set of equivalent atoms:
Sm (0.146, 0.000, 0.079) [4 per cell]
Dy (0.002, 0.500, 0.799) [4 per cell]
C (0.000, 0.000, 0.000) [2 per cell]
Br (0.000, 0.000, 0.500) [2 per cell]
Br (0.165, 0.500, 0.355) [4 per cell]
Cl (0.168, 0.500, 0.836) [4 per cell]

Peak list (10 most intense, 10 to 80 degrees two-theta, by angle)
(2 0 0), 10.47 deg, rel. 41; (0 0 1), 11.21 deg, rel. 40; (3 1 -1), 29.05 deg, rel. 29; (6 0 0), 31.78 deg, rel. 49; (3 1 1), 31.93 deg, rel. 38; (1 1 -2), 32.22 deg, rel. 100; (2 0 3), 38.18 deg, rel. 21; (7 1 -2), 45.79 deg, rel. 30; (5 1 2), 45.98 deg, rel. 30; (0 2 0), 47.78 deg, rel. 19

> Which formula does entry 3 have?

Sm2Dy2CBr3Cl2